Diffraction record for LaPr7Y2. The X-ray powder pattern is computed, not measured: it uses a crystal structure in Alexandria, relaxed with GGA-PBE and a wavelength of 1.5418 Å.
Lines closer than 0.1° are merged.

Cell and atoms:
Unit cell a=6.375 b=6.411 c=9.764 alpha=109.06 beta=102.60 gamma=99.60
Fractional coordinates of all 10 atoms:
La: 0.000 0.000 0.000
Pr: 0.001 0.601 0.203
Pr: 0.498 0.200 0.899
Pr: 0.498 0.601 0.698
Pr: 0.500 0.000 0.500
Pr: 0.502 0.399 0.302
Pr: 0.502 0.800 0.101
Pr: 0.999 0.399 0.797
Y: 0.001 0.201 0.403
Y: 0.999 0.799 0.597

Top 10 peaks for 2θ = 5–70°, low angle first:
2theta, I (rel.)
29.61, 100
29.73, 33
34.30, 23
34.39, 45
49.36, 24
49.48, 16
58.50, 10
58.64, 29
58.74, 14
61.43, 8